[1]
Y2Sc2TiCo10: theoretical powder XRD pattern (a wavelength of 1.5418 Å), based on the GGA-PBE geometry in the Materials Project.
Kinematic intensities with the Lorentz-polarization factor, no thermal factor.

Structure:
Cell: 20.5096 20.5096 20.5096 Å, 13.83 13.83 13.83°
Atoms (fractional coordinates):
Y: 0.0000 0.0000 0.0000
Y: 0.1990 0.1990 0.1990
Y: 0.3997 0.3997 0.3997
Y: 0.5995 0.5995 0.5995
Sc: 0.1485 0.1485 0.1485
Sc: 0.5492 0.5492 0.5492
Sc: 0.7993 0.7993 0.7993
Sc: 0.9496 0.9496 0.9496
Ti: 0.3498 0.3498 0.3498
Ti: 0.7507 0.7507 0.7507
Co: 0.0736 0.0736 0.5760
Co: 0.0736 0.5760 0.0736
Co: 0.0749 0.0749 0.0749
Co: 0.1719 0.6743 0.6743
Co: 0.2749 0.2749 0.2749
Co: 0.2748 0.2748 0.7739
Co: 0.2748 0.7739 0.2748
Co: 0.3762 0.8739 0.8739
Co: 0.4734 0.4734 0.9787
Co: 0.4734 0.9787 0.4734
Co: 0.4743 0.4743 0.4743
Co: 0.5760 0.0736 0.0736
Co: 0.6743 0.1719 0.6743
Co: 0.6743 0.6743 0.1719
Co: 0.6750 0.6750 0.6750
Co: 0.7739 0.2748 0.2748
Co: 0.8739 0.3762 0.8739
Co: 0.8739 0.8739 0.3762
Co: 0.8743 0.8743 0.8743
Co: 0.9787 0.4734 0.4734

Most intense lines, 10 to 90 degrees two-theta, sorted by position:
2θ (°), d (Å), intensity
36.20, 2.481, 19
36.38, 2.469, 19
42.70, 2.118, 34
42.88, 2.109, 100
44.61, 2.031, 13
44.92, 2.018, 39
69.81, 1.347, 14
69.93, 1.345, 14
76.83, 1.241, 16
77.27, 1.235, 16



[2]
P4N3Cl11: theoretical powder XRD pattern (a wavelength of 1.5418 Å), based on the GGA-PBE geometry in the Materials Project.
Kinematic intensities with the Lorentz-polarization factor, no thermal factor.

Structure:
Cell: 8.0324 8.0324 8.0324 Å, 85.30 85.30 85.30°
Atoms (fractional coordinates):
P: 0.0000 0.0000 0.0000
P: 0.1316 0.2101 0.7091
P: 0.2101 0.7091 0.1316
P: 0.7091 0.1316 0.2101
N: 0.0957 0.8750 0.1329
N: 0.1329 0.0957 0.8750
N: 0.8750 0.1329 0.0957
Cl: 0.0801 0.5039 0.1390
Cl: 0.1390 0.0801 0.5039
Cl: 0.3362 0.3374 0.6788
Cl: 0.3374 0.6788 0.3362
Cl: 0.3796 0.6848 0.9358
Cl: 0.5039 0.1390 0.0801
Cl: 0.6127 0.6127 0.6127
Cl: 0.6788 0.3362 0.3374
Cl: 0.6848 0.9358 0.3796
Cl: 0.8640 0.8640 0.8640
Cl: 0.9358 0.3796 0.6848

Most intense lines, 10 to 90 degrees two-theta, sorted by position:
2θ (°), d (Å), intensity
11.08, 7.982, 22
15.09, 5.871, 37
16.29, 5.442, 27
17.73, 5.003, 28
19.74, 4.496, 100
24.16, 3.683, 41
25.70, 3.466, 43
31.27, 2.860, 28
33.68, 2.661, 29
34.72, 2.584, 24



[3]
RhPb: theoretical powder XRD pattern (a wavelength of 1.5418 Å), based on the GGA-PBE geometry in the Materials Project.
Kinematic intensities with the Lorentz-polarization factor, no thermal factor.

Structure:
Cell: 5.7708 5.7708 4.5221 Å, 90.00 90.00 120.00°
Atoms (fractional coordinates):
Rh: 0.0000 0.5000 0.0000
Rh: 0.5000 0.0000 0.0000
Rh: 0.5000 0.5000 0.0000
Pb: 0.0000 0.0000 0.0000
Pb: 0.3333 0.6667 0.5000
Pb: 0.6667 0.3333 0.5000

Most intense lines, 10 to 90 degrees two-theta, sorted by position:
2θ (°), d (Å), intensity
26.58, 3.353, 54
30.99, 2.885, 53
36.96, 2.432, 25
39.87, 2.261, 30
41.28, 2.187, 100
51.34, 1.780, 27
52.50, 1.743, 18
64.60, 1.443, 27
73.35, 1.291, 19
78.67, 1.216, 26



[4]
RbRu4O8: theoretical powder XRD pattern (a wavelength of 1.5418 Å), based on the GGA-PBE geometry in the Materials Project.
Kinematic intensities with the Lorentz-polarization factor, no thermal factor.

Structure:
Cell: 7.3130 7.3130 7.3130 Å, 92.73 92.73 154.81°
Atoms (fractional coordinates):
Rb: 0.0000 0.0000 0.0000
Ru: 0.1473 0.3348 0.4821
Ru: 0.3348 0.8527 0.1876
Ru: 0.6652 0.1473 0.8124
Ru: 0.8527 0.6652 0.5179
O: 0.0455 0.6552 0.7007
O: 0.2961 0.6547 0.9509
O: 0.3448 0.0455 0.3903
O: 0.3453 0.2961 0.6414
O: 0.6547 0.7039 0.3586
O: 0.6552 0.9545 0.6097
O: 0.7039 0.3453 0.0491
O: 0.9545 0.3448 0.2993

Most intense lines, 10 to 90 degrees two-theta, sorted by position:
2θ (°), d (Å), intensity
12.40, 7.137, 17
17.57, 5.047, 16
27.95, 3.192, 100
34.43, 2.605, 93
38.91, 2.315, 18
46.78, 1.942, 35
54.55, 1.682, 19
56.99, 1.616, 45
65.42, 1.427, 20
66.12, 1.413, 25